Computed XRD peak list of Ac2CdPd6Pb for Cu Kα, from DFT lattice parameters and positions (GGA-PBE).
No peak broadening, texture or thermal motion is included.

Crystal structure
```
data_Ac2CdPd6Pb
_chemical_formula_sum 'Ac4 Cd2 Pd12 Pb2'
_cell_length_a 12.6835
_cell_length_b 5.6974
_cell_length_c 8.7143
_cell_angle_alpha 90.00
_cell_angle_beta 133.29
_cell_angle_gamma 90.00
_space_group_name_H-M_alt 'C 1 2/m 1'
_space_group_IT_number 12
loop_
_space_group_symop_operation_xyz
'x,y,z'
'-x,-y,-z'
'-x,y,-z'
'x,-y,z'
'x+1/2,y+1/2,z'
'-x+1/2,-y+1/2,-z'
'-x+1/2,y+1/2,-z'
'x+1/2,-y+1/2,z'
loop_
_atom_site_label
_atom_site_type_symbol
_atom_site_fract_x
_atom_site_fract_y
_atom_site_fract_z
_atom_site_occupancy
Ac1 Ac 0.0267 0.0000 0.2824 1
Cd1 Cd 0.0000 0.5000 0.5000 1
Pd1 Pd 0.1842 0.5000 0.9319 1
Pd2 Pd 0.2494 0.2464 0.2685 1
Pb1 Pb 0.0000 0.5000 0.0000 1
```

Most intense lines, 2θ = 5–70°, low angle first:
| d [Å] | 2θ (°) | intensity | h k l |
| --- | --- | --- | --- |
| 3.318 | 26.87 | 26 | 1 1 1 |
| 3.241 | 27.52 | 100 | 3 1 -2 |
| 3.169 | 28.16 | 15 | 4 0 -2 |
| 2.424 | 37.08 | 54 | 2 2 0 |
| 2.384 | 37.73 | 28 | 2 2 -2 |
| 2.308 | 39.02 | 26 | 4 0 0 |
| 2.300 | 39.17 | 74 | 5 1 -2 |
| 2.179 | 41.45 | 35 | 4 0 -4 |
| 2.118 | 42.68 | 15 | 0 2 2 |
| 1.711 | 53.57 | 17 | 3 3 -2 |
| 1.620 | 56.82 | 29 | 6 2 -4 |
| 1.515 | 61.16 | 20 | 5 3 -2 |